# 1
Theoretical PXRD pattern
Compound: CuHg3As2Br3
Radiation: copper Kα
Structure: a GGA-PBE-relaxed structure
No peak broadening, texture or thermal motion is included.

Crystal structure
abc: 13.545 13.545 15.353
angles: 121.78 121.78 41.16
Fractional coordinates of all 54 atoms:
Cu  0.089  0.574  0.207
Cu  0.110  0.890  0.750
Cu  0.426  0.911  0.293
Cu  0.574  0.089  0.707
Cu  0.890  0.110  0.250
Cu  0.911  0.426  0.793
Hg  0.000  0.000  0.000
Hg  0.000  0.000  0.500
Hg  0.038  0.624  0.751
Hg  0.160  0.170  0.502
Hg  0.170  0.160  0.002
Hg  0.324  0.676  0.250
Hg  0.326  0.338  0.499
Hg  0.338  0.326  0.999
Hg  0.376  0.962  0.749
Hg  0.500  0.500  0.000
Hg  0.500  0.500  0.500
Hg  0.624  0.038  0.251
Hg  0.662  0.674  0.001
Hg  0.674  0.662  0.501
Hg  0.676  0.324  0.750
Hg  0.830  0.840  0.998
Hg  0.840  0.830  0.498
Hg  0.962  0.376  0.249
As  0.046  0.755  0.950
As  0.088  0.374  0.448
As  0.245  0.954  0.550
As  0.300  0.565  0.049
As  0.374  0.088  0.948
As  0.435  0.700  0.451
As  0.565  0.300  0.549
As  0.626  0.912  0.052
As  0.700  0.435  0.951
As  0.755  0.046  0.450
As  0.912  0.626  0.552
As  0.954  0.245  0.050
Br  0.000  0.500  0.000
Br  0.001  0.844  0.250
Br  0.096  0.357  0.739
Br  0.156  0.999  0.250
Br  0.180  0.712  0.585
Br  0.288  0.820  0.915
Br  0.357  0.096  0.239
Br  0.365  0.393  0.246
Br  0.393  0.365  0.746
Br  0.500  0.000  0.500
Br  0.607  0.635  0.254
Br  0.635  0.607  0.754
Br  0.643  0.904  0.761
Br  0.712  0.180  0.085
Br  0.820  0.288  0.415
Br  0.844  0.001  0.750
Br  0.904  0.643  0.261
Br  0.999  0.156  0.750

Principal peaks in the range 2θ from 15° to 90°, by angle:
d/Å, I/Imax
3.809, 53
3.173, 68
3.161, 100
2.252, 26
2.227, 28
2.113, 25

# 2
Theoretical PXRD pattern
Compound: Ga4Hg11As4Br16
Radiation: copper Kα
Structure: a GGA-PBE-relaxed structure
No peak broadening, texture or thermal motion is included.

Crystal structure
abc: 7.932 7.932 23.185
angles: 97.77 97.77 59.51
Fractional coordinates of all 35 atoms:
Ga  0.138  0.138  0.389
Ga  0.258  0.258  0.885
Ga  0.742  0.742  0.115
Ga  0.862  0.862  0.611
Hg  0.026  0.026  0.058
Hg  0.233  0.735  0.779
Hg  0.265  0.767  0.221
Hg  0.266  0.266  0.217
Hg  0.468  0.468  0.383
Hg  0.500  0.500  0.500
Hg  0.532  0.532  0.617
Hg  0.734  0.734  0.783
Hg  0.735  0.233  0.779
Hg  0.767  0.265  0.221
Hg  0.974  0.974  0.942
As  0.085  0.085  0.171
As  0.443  0.443  0.268
As  0.557  0.557  0.732
As  0.915  0.915  0.829
Br  0.032  0.032  0.651
Br  0.034  0.550  0.651
Br  0.067  0.574  0.086
Br  0.164  0.164  0.491
Br  0.238  0.238  0.782
Br  0.426  0.933  0.914
Br  0.428  0.428  0.921
Br  0.450  0.966  0.349
Br  0.550  0.034  0.651
Br  0.572  0.572  0.079
Br  0.574  0.067  0.086
Br  0.762  0.762  0.218
Br  0.836  0.836  0.509
Br  0.933  0.426  0.914
Br  0.966  0.450  0.349
Br  0.968  0.968  0.349

Principal peaks in the range 2θ from 15° to 90°, by angle:
d/Å, I/Imax
3.403, 57
3.338, 96
3.272, 77
3.205, 100
1.981, 61
1.968, 65

# 3
Theoretical PXRD pattern
Compound: Hg3AsBrO4
Radiation: copper Kα
Structure: a GGA-PBE-relaxed structure
No peak broadening, texture or thermal motion is included.

Crystal structure
abc: 8.547 8.547 8.547
angles: 90.00 90.00 90.00
Fractional coordinates of all 36 atoms:
Hg  0.053  0.397  0.355
Hg  0.103  0.645  0.553
Hg  0.145  0.947  0.897
Hg  0.355  0.053  0.397
Hg  0.397  0.355  0.053
Hg  0.447  0.603  0.855
Hg  0.553  0.103  0.645
Hg  0.603  0.855  0.447
Hg  0.645  0.553  0.103
Hg  0.855  0.447  0.603
Hg  0.897  0.145  0.947
Hg  0.947  0.897  0.145
As  0.018  0.518  0.982
As  0.482  0.482  0.482
As  0.518  0.982  0.018
As  0.982  0.018  0.518
Br  0.243  0.757  0.257
Br  0.257  0.243  0.757
Br  0.743  0.743  0.743
Br  0.757  0.257  0.243
O  0.100  0.125  0.390
O  0.110  0.900  0.625
O  0.125  0.390  0.100
O  0.133  0.633  0.867
O  0.367  0.367  0.367
O  0.375  0.610  0.600
O  0.390  0.100  0.125
O  0.400  0.875  0.890
O  0.600  0.375  0.610
O  0.610  0.600  0.375
O  0.625  0.110  0.900
O  0.633  0.867  0.133
O  0.867  0.133  0.633
O  0.875  0.890  0.400
O  0.890  0.400  0.875
O  0.900  0.625  0.110

Principal peaks in the range 2θ from 15° to 90°, by angle:
d/Å, I/Imax
4.935, 51
3.822, 44
3.489, 53
2.849, 66
2.703, 50
2.577, 100